Entry 1:
This entry pairs a crystal structure of Pm14PuSc with its theoretical powder XRD pattern. Radiation: λ = 1.5418 Å (Cu Kα). Structure: a PBE-relaxed structure.

The 10 most intense peaks (15 to 90 degrees two-theta), by angle:
d/Å  I/Imax
3.168  15.2
3.156  8.5
2.909  24.8
2.779  100.0
2.141  15.7
1.824  13.0
1.654  14.0
1.550  7.5
1.546  14.9
1.528  10.6

Cell and atoms:
```
Pm14PuSc
1.0
11.634 0.000 0.000
0.000 3.662 6.312
0.000 -3.662 6.312
Pm Pu Sc
14 1 1
direct
0.000 0.000 0.000
0.000 0.498 0.498
0.000 0.500 0.997
0.000 0.997 0.500
0.251 0.332 0.332
0.254 0.833 0.833
0.260 0.332 0.828
0.260 0.828 0.332
0.500 0.006 0.500
0.500 0.500 0.006
0.740 0.332 0.828
0.740 0.828 0.332
0.746 0.833 0.833
0.749 0.332 0.332
0.500 0.497 0.497
0.500 0.000 0.000
```

---

Entry 2:
This entry pairs a crystal structure of CeMn2Cu9 with its theoretical powder XRD pattern. Radiation: λ = 1.5418 Å (Cu Kα). Structure: a PBE-relaxed structure.

The 10 most intense peaks (15 to 90 degrees two-theta), by angle:
d/Å  I/Imax
2.619  15.9
2.518  32.4
2.313  100.0
2.119  43.4
2.082  32.6
2.053  68.3
2.008  53.1
1.852  18.8
1.356  16.7
1.156  20.2

Cell and atoms:
```
CeMn2Cu9
1.0
8.281 0.000 0.000
0.000 8.281 0.000
0.000 0.000 4.932
Ce Mn Cu
2 4 18
direct
0.000 0.000 0.000
0.500 0.500 0.000
0.117 0.383 0.000
0.383 0.883 0.000
0.617 0.117 0.000
0.883 0.617 0.000
0.000 0.500 0.500
0.065 0.210 0.500
0.178 0.678 0.240
0.178 0.678 0.760
0.210 0.935 0.500
0.290 0.435 0.500
0.322 0.178 0.240
0.322 0.178 0.760
0.435 0.710 0.500
0.500 0.000 0.500
0.565 0.290 0.500
0.678 0.822 0.240
0.678 0.822 0.760
0.710 0.565 0.500
0.790 0.065 0.500
0.822 0.322 0.240
0.822 0.322 0.760
0.935 0.790 0.500
```